# 1
Calculated powder XRD pattern
Compound: Tb3Bi2Pb
Radiation: λ = 1.5418 Å (Cu Kα)
Structure: the GGA-PBE geometry in Alexandria
Intensities are scaled so that the largest is 100.

Unit cell a=7.808 b=7.808 c=7.649 alpha=99.74 beta=99.74 gamma=119.58
Fractional positions:
Tb1 0.000 0.500 0.500
Tb2 0.166 0.333 0.002
Tb3 0.333 0.166 0.502
Tb4 0.500 0.000 0.000
Tb5 0.667 0.834 0.498
Tb6 0.834 0.667 0.998
Bi1 0.083 0.917 0.750
Bi2 0.249 0.751 0.250
Bi3 0.751 0.249 0.750
Bi4 0.917 0.083 0.250
Pb1 0.416 0.584 0.750
Pb2 0.584 0.416 0.250

Principal peaks in the range 10° ≤ 2θ ≤ 90°, sorted by position:
28.16°, intensity 100.0; 39.83°, intensity 26.8; 40.09°, intensity 13.2; 40.40°, intensity 12.9; 40.68°, intensity 25.3; 49.26°, intensity 7.4; 49.72°, intensity 14.3; 58.23°, intensity 13.5; 65.32°, intensity 12.8; 66.52°, intensity 12.1

=====

# 2
Calculated powder XRD pattern
Compound: TbThBiPb
Radiation: λ = 1.5418 Å (Cu Kα)
Structure: the GGA-PBE geometry in Alexandria
Intensities are scaled so that the largest is 100.

Unit cell a=7.802 b=7.802 c=7.802 alpha=33.98 beta=33.98 gamma=33.98
Fractional positions:
Tb1 0.000 0.000 0.000
Th1 0.496 0.496 0.496
Bi1 0.250 0.250 0.250
Pb1 0.746 0.746 0.746

Principal peaks in the range 10° ≤ 2θ ≤ 90°, sorted by position:
27.80°, intensity 100.0; 39.53°, intensity 40.1; 39.91°, intensity 38.5; 49.01°, intensity 21.8; 49.65°, intensity 6.8; 57.42°, intensity 13.6; 64.70°, intensity 19.3; 65.24°, intensity 18.3; 71.70°, intensity 7.2; 71.95°, intensity 14.1